1.
Diffraction record for BaHo2IrO5. The powder XRD pattern is computed, not measured: it uses a crystal structure in Alexandria, relaxed with GGA-PBE and a wavelength of 1.5418 Å.
Lines closer than 0.1° are merged.

Atomic structure:
```
BaHo2IrO5
1.0
-2.040 2.870 5.568
2.040 -2.870 5.568
2.040 2.870 -5.568
Ba Ho Ir O
1 2 1 5
Direct
0.000 0.000 0.000
0.292 0.792 0.500
0.708 0.208 0.500
0.500 0.500 0.000
0.118 0.352 0.766
0.414 0.648 0.766
0.500 0.000 0.500
0.586 0.352 0.234
0.882 0.648 0.234
```

Principal peaks in the range 5 to 70 degrees two-theta, most intense first:
2θ = 31.3°, 2.855 Å, I = 100; 2θ = 31.2°, 2.870 Å, I = 27; 2θ = 55.6°, 1.654 Å, I = 21; 2θ = 17.4°, 5.102 Å, I = 17; 2θ = 45.4°, 1.998 Å, I = 16; 2θ = 44.4°, 2.040 Å, I = 15; 2θ = 32.2°, 2.784 Å, I = 13; 2θ = 45.7°, 1.984 Å, I = 12; 2θ = 55.2°, 1.663 Å, I = 11; 2θ = 65.4°, 1.428 Å, I = 10



2.
Diffraction record for La2SmPd6Pb3. The powder XRD pattern is computed, not measured: it uses a crystal structure in Alexandria, relaxed with GGA-PBE and a wavelength of 1.5418 Å.
Lines closer than 0.1° are merged.

Atomic structure:
```
La2SmPd6Pb3
1.0
3.994 0.000 0.000
0.000 3.994 0.000
0.000 0.000 19.617
La Sm Pd Pb
2 1 6 3
Direct
0.000 0.000 0.183
0.000 0.000 0.817
0.000 0.000 0.500
0.000 0.500 0.390
0.000 0.500 0.610
0.500 0.000 0.390
0.500 0.000 0.610
0.500 0.500 0.137
0.500 0.500 0.863
0.500 0.500 0.000
0.500 0.500 0.291
0.500 0.500 0.709
```

Principal peaks in the range 5 to 70 degrees two-theta, most intense first:
2θ = 26.1°, 3.408 Å, I = 100; 2θ = 39.3°, 2.293 Å, I = 95; 2θ = 45.4°, 1.997 Å, I = 64; 2θ = 32.0°, 2.797 Å, I = 59; 2θ = 36.7°, 2.448 Å, I = 47; 2θ = 42.3°, 2.137 Å, I = 44; 2θ = 31.7°, 2.824 Å, I = 41; 2θ = 61.6°, 1.506 Å, I = 38; 2θ = 53.2°, 1.723 Å, I = 30; 2θ = 66.2°, 1.412 Å, I = 28



3.
Diffraction record for MgSb2Se. The powder XRD pattern is computed, not measured: it uses a crystal structure in Alexandria, relaxed with GGA-PBE and a wavelength of 1.5418 Å.
Lines closer than 0.1° are merged.

Atomic structure:
```
MgSb2Se
1.0
5.359 0.000 0.000
0.000 4.203 0.000
-2.126 0.000 5.037
Mg Sb Se
1 2 1
Direct
0.000 0.000 0.000
0.337 0.500 0.735
0.524 0.000 0.478
0.808 0.500 0.163
```

Principal peaks in the range 5 to 70 degrees two-theta, most intense first:
2θ = 29.0°, 3.075 Å, I = 100; 2θ = 29.9°, 2.992 Å, I = 47; 2θ = 41.8°, 2.160 Å, I = 34; 2θ = 42.5°, 2.129 Å, I = 33; 2θ = 18.0°, 4.938 Å, I = 24; 2θ = 40.0°, 2.254 Å, I = 22; 2θ = 27.6°, 3.227 Å, I = 21; 2θ = 53.3°, 1.719 Å, I = 20; 2θ = 43.0°, 2.101 Å, I = 18; 2θ = 19.7°, 4.510 Å, I = 12



4.
Diffraction record for Zn2Ni15Mo2. The powder XRD pattern is computed, not measured: it uses a crystal structure in Alexandria, relaxed with GGA-PBE and a wavelength of 1.5418 Å.
Lines closer than 0.1° are merged.

Atomic structure:
```
Zn2Ni15Mo2
1.0
4.058 2.343 4.067
-4.058 2.343 4.067
0.000 -4.686 4.067
Zn Ni Mo
2 15 2
Direct
0.104 0.104 0.104
0.896 0.896 0.896
0.000 0.000 0.500
0.000 0.330 0.670
0.000 0.500 0.000
0.000 0.670 0.330
0.169 0.662 0.662
0.330 0.000 0.670
0.330 0.670 0.000
0.338 0.338 0.831
0.338 0.831 0.338
0.500 0.000 0.000
0.662 0.169 0.662
0.662 0.662 0.169
0.670 0.000 0.330
0.670 0.330 0.000
0.831 0.338 0.338
0.392 0.392 0.392
0.608 0.608 0.608
```

Principal peaks in the range 5 to 70 degrees two-theta, most intense first:
2θ = 44.6°, 2.030 Å, I = 100; 2θ = 50.2°, 1.817 Å, I = 86; 2θ = 38.4°, 2.343 Å, I = 30; 2θ = 32.0°, 2.798 Å, I = 14; 2θ = 45.3°, 2.003 Å, I = 12; 2θ = 39.1°, 2.304 Å, I = 11; 2θ = 21.9°, 4.065 Å, I = 5; 2θ = 56.0°, 1.643 Å, I = 5; 2θ = 69.5°, 1.353 Å, I = 5; 2θ = 19.3°, 4.607 Å, I = 5



5.
Diffraction record for ThTa4Ge2. The powder XRD pattern is computed, not measured: it uses a crystal structure in Alexandria, relaxed with GGA-PBE and a wavelength of 1.5418 Å.
Lines closer than 0.1° are merged.

Atomic structure:
```
ThTa4Ge2
1.0
2.239 -8.390 0.000
2.239 8.390 0.000
0.000 0.000 3.681
Th Ta Ge
1 4 2
Direct
0.000 0.000 0.000
0.176 0.824 0.500
0.312 0.688 0.000
0.688 0.312 0.000
0.824 0.176 0.500
0.424 0.576 0.500
0.576 0.424 0.500
```

Principal peaks in the range 5 to 70 degrees two-theta, most intense first:
2θ = 35.4°, 2.535 Å, I = 100; 2θ = 40.3°, 2.239 Å, I = 24; 2θ = 32.0°, 2.797 Å, I = 17; 2θ = 41.6°, 2.170 Å, I = 17; 2θ = 49.5°, 1.841 Å, I = 14; 2θ = 10.5°, 8.390 Å, I = 12; 2θ = 65.7°, 1.422 Å, I = 12; 2θ = 42.8°, 2.113 Å, I = 11; 2θ = 32.4°, 2.767 Å, I = 11; 2θ = 59.3°, 1.559 Å, I = 10



6.
Diffraction record for Ac2Nd9Tm. The powder XRD pattern is computed, not measured: it uses a crystal structure in Alexandria, relaxed with GGA-PBE and a wavelength of 1.5418 Å.
Lines closer than 0.1° are merged.

Atomic structure:
```
Ac2Nd9Tm
1.0
6.159 0.000 0.000
0.000 6.159 0.000
0.000 0.000 11.488
Ac Nd Tm
2 9 1
Direct
0.000 0.000 0.170
0.000 0.000 0.830
0.000 0.500 0.000
0.000 0.500 0.343
0.000 0.500 0.657
0.500 0.000 0.000
0.500 0.000 0.343
0.500 0.000 0.657
0.500 0.500 0.162
0.500 0.500 0.500
0.500 0.500 0.838
0.000 0.000 0.500
```

Principal peaks in the range 5 to 70 degrees two-theta, most intense first:
2θ = 31.1°, 2.876 Å, I = 100; 2θ = 29.0°, 3.079 Å, I = 61; 2θ = 52.7°, 1.736 Å, I = 46; 2θ = 41.5°, 2.177 Å, I = 23; 2θ = 56.6°, 1.626 Å, I = 18; 2θ = 64.8°, 1.438 Å, I = 12; 2θ = 68.1°, 1.377 Å, I = 11; 2θ = 69.2°, 1.357 Å, I = 10; 2θ = 60.1°, 1.540 Å, I = 8; 2θ = 47.5°, 1.915 Å, I = 8



7.
Diffraction record for AcZnSi2Au6. The powder XRD pattern is computed, not measured: it uses a crystal structure in Alexandria, relaxed with GGA-PBE and a wavelength of 1.5418 Å.
Lines closer than 0.1° are merged.

Atomic structure:
```
AcZnSi2Au6
1.0
3.356 1.938 7.039
-3.356 1.938 7.039
0.000 -3.875 7.039
Ac Zn Si Au
1 1 2 6
Direct
0.000 0.000 0.000
0.500 0.500 0.500
0.283 0.283 0.283
0.717 0.717 0.717
0.128 0.487 0.587
0.413 0.872 0.513
0.487 0.587 0.128
0.513 0.413 0.872
0.587 0.128 0.487
0.872 0.513 0.413
```

Principal peaks in the range 5 to 70 degrees two-theta, most intense first:
2θ = 31.1°, 2.879 Å, I = 100; 2θ = 12.6°, 7.039 Å, I = 85; 2θ = 44.7°, 2.028 Å, I = 74; 2θ = 31.9°, 2.802 Å, I = 65; 2θ = 15.8°, 5.604 Å, I = 57; 2θ = 26.1°, 3.417 Å, I = 49; 2θ = 37.0°, 2.429 Å, I = 48; 2θ = 29.5°, 3.029 Å, I = 46; 2θ = 42.0°, 2.151 Å, I = 34; 2θ = 25.3°, 3.519 Å, I = 30



8.
Diffraction record for TaPbAu2. The powder XRD pattern is computed, not measured: it uses a crystal structure in Alexandria, relaxed with GGA-PBE and a wavelength of 1.5418 Å.
Lines closer than 0.1° are merged.

Atomic structure:
```
TaPbAu2
1.0
-1.503 2.553 5.476
1.503 -2.553 5.476
1.503 2.553 -5.476
Ta Pb Au
1 1 2
Direct
0.000 0.000 0.000
0.500 0.500 0.000
0.219 0.719 0.500
0.781 0.281 0.500
```

Principal peaks in the range 5 to 70 degrees two-theta, most intense first:
2θ = 38.4°, 2.342 Å, I = 100; 2θ = 35.2°, 2.553 Å, I = 34; 2θ = 32.7°, 2.738 Å, I = 30; 2θ = 65.3°, 1.430 Å, I = 22; 2θ = 48.8°, 1.867 Å, I = 20; 2θ = 62.2°, 1.492 Å, I = 13; 2θ = 30.1°, 2.970 Å, I = 10; 2θ = 61.7°, 1.503 Å, I = 7; 2θ = 64.0°, 1.455 Å, I = 5; 2θ = 45.0°, 2.013 Å, I = 5



9.
Diffraction record for NdHoMg2Ag4. The powder XRD pattern is computed, not measured: it uses a crystal structure in Alexandria, relaxed with GGA-PBE and a wavelength of 1.5418 Å.
Lines closer than 0.1° are merged.

Atomic structure:
```
NdHoMg2Ag4
1.0
2.503 1.445 8.127
-2.503 1.445 8.127
0.000 -2.891 8.127
Nd Ho Mg Ag
1 1 2 4
Direct
0.000 0.000 0.000
0.500 0.500 0.500
0.250 0.250 0.250
0.750 0.750 0.750
0.129 0.129 0.129
0.378 0.378 0.378
0.622 0.622 0.622
0.871 0.871 0.871
```

Principal peaks in the range 5 to 70 degrees two-theta, most intense first:
2θ = 35.9°, 2.503 Å, I = 100; 2θ = 36.0°, 2.493 Å, I = 97; 2θ = 64.5°, 1.444 Å, I = 51; 2θ = 21.8°, 4.085 Å, I = 35; 2θ = 51.7°, 1.767 Å, I = 34; 2θ = 42.4°, 2.132 Å, I = 19; 2θ = 64.9°, 1.438 Å, I = 16; 2θ = 21.9°, 4.064 Å, I = 12; 2θ = 42.5°, 2.125 Å, I = 6; 2θ = 56.7°, 1.624 Å, I = 5



10.
Diffraction record for Ac3Pm4Si4. The powder XRD pattern is computed, not measured: it uses a crystal structure in Alexandria, relaxed with GGA-PBE and a wavelength of 1.5418 Å.
Lines closer than 0.1° are merged.

Atomic structure:
```
Ac3Pm4Si4
1.0
-4.476 4.476 4.476
4.476 -4.476 4.476
4.476 4.476 -4.476
Ac Pm Si
3 4 4
Direct
0.000 0.500 0.500
0.500 0.000 0.500
0.500 0.500 0.000
0.000 0.000 0.714
0.000 0.714 0.000
0.286 0.286 0.286
0.714 0.000 0.000
0.000 0.000 0.354
0.000 0.354 0.000
0.354 0.000 0.000
0.646 0.646 0.646
```

Principal peaks in the range 5 to 70 degrees two-theta, most intense first:
2θ = 31.6°, 2.831 Å, I = 100; 2θ = 28.2°, 3.165 Å, I = 99; 2θ = 24.4°, 3.655 Å, I = 84; 2θ = 45.3°, 2.002 Å, I = 66; 2θ = 34.7°, 2.584 Å, I = 46; 2θ = 19.8°, 4.476 Å, I = 44; 2θ = 49.9°, 1.827 Å, I = 33; 2θ = 58.3°, 1.583 Å, I = 33; 2θ = 42.9°, 2.110 Å, I = 31; 2θ = 62.2°, 1.492 Å, I = 26



11.
Diffraction record for Pr3Zn6AgAu2. The powder XRD pattern is computed, not measured: it uses a crystal structure in Alexandria, relaxed with GGA-PBE and a wavelength of 1.5418 Å.
Lines closer than 0.1° are merged.

Atomic structure:
```
Pr3Zn6AgAu2
1.0
5.641 0.000 0.000
-2.820 4.885 0.000
0.000 0.000 9.449
Pr Zn Ag Au
3 6 1 2
Direct
0.000 0.000 0.000
0.333 0.667 0.600
0.667 0.333 0.400
0.173 0.346 0.268
0.173 0.827 0.268
0.346 0.173 0.732
0.654 0.827 0.268
0.827 0.173 0.732
0.827 0.654 0.732
0.000 0.000 0.500
0.333 0.667 0.026
0.667 0.333 0.974
```

Principal peaks in the range 5 to 70 degrees two-theta, most intense first:
2θ = 37.1°, 2.422 Å, I = 100; 2θ = 31.7°, 2.820 Å, I = 66; 2θ = 38.1°, 2.364 Å, I = 38; 2θ = 26.2°, 3.396 Å, I = 33; 2θ = 60.1°, 1.539 Å, I = 25; 2θ = 41.6°, 2.170 Å, I = 23; 2θ = 66.3°, 1.410 Å, I = 22; 2θ = 42.5°, 2.127 Å, I = 22; 2θ = 28.3°, 3.150 Å, I = 17; 2θ = 43.1°, 2.101 Å, I = 16